[1]
For K2RbGaBr6, a PBE-relaxed structure gives the simulated X-ray powder pattern in this record (Cu Kα X-rays).
Lines closer than 0.1° are merged.

```
data_K2RbGaBr6
_cell_length_a 11.567
_cell_length_b 11.567
_cell_length_c 11.567
_cell_angle_alpha 90.00
_cell_angle_beta 90.00
_cell_angle_gamma 90.00
_space_group_name_H-M_alt 'F m -3 m'
_space_group_IT_number 225
_space_group_name_Hall '-F 4 2 3'
loop_
_atom_site_label
_atom_site_type_symbol
_atom_site_fract_x
_atom_site_fract_y
_atom_site_fract_z
K1 K 0.250 0.250 0.250
Rb1 Rb 0.000 0.000 0.000
Ga1 Ga 0.000 0.000 0.500
Br1 Br 0.000 0.000 0.278
```

Most intense lines, 10 to 90 degrees two-theta, by angle:
2θ (°)  d [Å]  Rel. int.
15.32  5.783  71
26.70  3.339  60
30.92  2.892  100
34.68  2.586  28
40.53  2.226  21
44.30  2.045  64
55.00  1.669  19
73.19  1.293  20

=====

[2]
For LaRh3, a PBE-relaxed structure gives the simulated X-ray powder pattern in this record (Cu Kα X-rays).
Lines closer than 0.1° are merged.

```
data_LaRh3
_cell_length_a 5.3800
_cell_length_b 5.3800
_cell_length_c 26.8793
_cell_angle_alpha 90.00
_cell_angle_beta 90.00
_cell_angle_gamma 120.00
_space_group_name_H-M_alt 'R -3 m'
_space_group_IT_number 166
_space_group_name_Hall '-R 3 2"'
loop_
_atom_site_label
_atom_site_type_symbol
_atom_site_fract_x
_atom_site_fract_y
_atom_site_fract_z
La1 La 0.0000 0.0000 0.0000
La2 La 0.0000 0.0000 0.1385
Rh1 Rh 0.0000 0.0000 0.3324
Rh2 Rh 0.0000 0.0000 0.5000
Rh3 Rh 0.0014 0.5007 0.0812
```

Most intense lines, 10 to 90 degrees two-theta, by angle:
2θ (°)  d [Å]  Rel. int.
30.16  2.963  25
32.86  2.725  27
33.31  2.690  32
38.80  2.321  34
39.06  2.306  100
42.28  2.138  31
63.39  1.467  24
69.94  1.345  25

=====

[3]
For GdZrRu2, a PBE-relaxed structure gives the simulated X-ray powder pattern in this record (Cu Kα X-rays).
Lines closer than 0.1° are merged.

```
data_GdZrRu2
_cell_length_a 6.706
_cell_length_b 6.706
_cell_length_c 6.706
_cell_angle_alpha 90.00
_cell_angle_beta 90.00
_cell_angle_gamma 90.00
_space_group_name_H-M_alt 'F m -3 m'
_space_group_IT_number 225
_space_group_name_Hall '-F 4 2 3'
loop_
_atom_site_label
_atom_site_type_symbol
_atom_site_fract_x
_atom_site_fract_y
_atom_site_fract_z
Gd1 Gd 0.000 0.000 0.000
Zr1 Zr 0.000 0.000 0.500
Ru1 Ru 0.250 0.250 0.250
```

Most intense lines, 10 to 90 degrees two-theta, by angle:
2θ (°)  d [Å]  Rel. int.
22.97  3.872  4
26.59  3.353  1
37.95  2.371  100
44.83  2.022  2
54.75  1.676  17
60.15  1.538  1
68.55  1.369  34
81.13  1.185  11

=====

[4]
For SiO2, a PBE-relaxed structure gives the simulated X-ray powder pattern in this record (Cu Kα X-rays).
Lines closer than 0.1° are merged.

```
data_SiO2
_cell_length_a 9.062
_cell_length_b 9.062
_cell_length_c 8.144
_cell_angle_alpha 90.00
_cell_angle_beta 90.00
_cell_angle_gamma 90.00
_space_group_name_H-M_alt 'P 42/n b c'
_space_group_IT_number 133
loop_
_space_group_symop_operation_xyz
'x,y,z'
'-x,-y,-z'
'-y+1/2,x,z+1/2'
'y+1/2,-x,-z+1/2'
'-x+1/2,-y+1/2,z'
'x+1/2,y+1/2,-z'
'y,-x+1/2,z+1/2'
'-y,x+1/2,-z+1/2'
'x,-y+1/2,-z'
'-x,y+1/2,z'
'-y+1/2,-x+1/2,-z+1/2'
'y+1/2,x+1/2,z+1/2'
'-x+1/2,y,-z'
'x+1/2,-y,z'
'y,x,-z+1/2'
'-y,-x,z+1/2'
loop_
_atom_site_label
_atom_site_type_symbol
_atom_site_fract_x
_atom_site_fract_y
_atom_site_fract_z
Si1 Si 0.032 0.695 0.187
O1 O 0.011 0.750 0.000
O2 O 0.073 0.666 0.694
O3 O 0.120 0.120 0.250
```

Most intense lines, 10 to 90 degrees two-theta, by angle:
2θ (°)  d [Å]  Rel. int.
13.82  6.408  39
21.83  4.072  95
22.45  3.960  67
24.53  3.628  47
27.84  3.204  100
31.15  2.871  64
50.14  1.819  24
69.42  1.354  18

=====

[5]
For NdTiFe11H, a PBE-relaxed structure gives the simulated X-ray powder pattern in this record (Cu Kα X-rays).
Lines closer than 0.1° are merged.

```
data_NdTiFe11H
_cell_length_a 4.752
_cell_length_b 8.560
_cell_length_c 8.496
_cell_angle_alpha 90.00
_cell_angle_beta 90.00
_cell_angle_gamma 90.00
_space_group_name_H-M_alt 'I m m 2'
_space_group_IT_number 44
_space_group_name_Hall 'I 2 -2'
loop_
_atom_site_label
_atom_site_type_symbol
_atom_site_fract_x
_atom_site_fract_y
_atom_site_fract_z
Nd1 Nd 0.000 0.000 0.000
Ti1 Ti 0.000 0.000 0.374
Fe1 Fe 0.000 0.000 0.649
Fe2 Fe 0.000 0.274 0.508
Fe3 Fe 0.000 0.359 0.006
Fe4 Fe 0.000 0.500 0.274
Fe5 Fe 0.000 0.500 0.734
Fe6 Fe 0.249 0.248 0.755
H1 H 0.000 0.500 0.505
```

Most intense lines, 10 to 90 degrees two-theta, by angle:
2θ (°)  d [Å]  Rel. int.
30.04  2.974  45
36.74  2.446  25
36.95  2.433  23
42.23  2.140  36
42.62  2.121  100
42.75  2.115  52
43.61  2.076  84
48.80  1.866  32

=====

[6]
For Pb11C2N10, a PBE-relaxed structure gives the simulated X-ray powder pattern in this record (Cu Kα X-rays).
Lines closer than 0.1° are merged.

```
data_Pb11C2N10
_cell_length_a 16.232
_cell_length_b 16.232
_cell_length_c 3.606
_cell_angle_alpha 90.00
_cell_angle_beta 90.00
_cell_angle_gamma 90.00
_space_group_name_H-M_alt 'P 42/m n m'
_space_group_IT_number 136
_space_group_name_Hall '-P 4n 2n'
loop_
_atom_site_label
_atom_site_type_symbol
_atom_site_fract_x
_atom_site_fract_y
_atom_site_fract_z
Pb1 Pb 0.000 0.000 0.000
Pb2 Pb 0.011 0.206 0.500
Pb3 Pb 0.127 0.634 0.500
Pb4 Pb 0.167 0.833 0.000
C1 C 0.174 0.174 0.000
N1 N 0.073 0.712 0.000
N2 N 0.088 0.912 0.500
N3 N 0.120 0.120 0.000
N4 N 0.228 0.228 0.000
```

Most intense lines, 10 to 90 degrees two-theta, by angle:
2θ (°)  d [Å]  Rel. int.
12.19  7.259  23
28.03  3.183  71
29.25  3.053  65
31.17  2.869  54
31.80  2.814  100
33.11  2.705  26
46.92  1.936  22
47.97  1.896  23

=====

[7]
For TmCoSn, a PBE-relaxed structure gives the simulated X-ray powder pattern in this record (Cu Kα X-rays).
Lines closer than 0.1° are merged.

```
data_TmCoSn
_cell_length_a 7.108
_cell_length_b 4.490
_cell_length_c 7.435
_cell_angle_alpha 90.00
_cell_angle_beta 90.00
_cell_angle_gamma 90.00
_space_group_name_H-M_alt 'P n m a'
_space_group_IT_number 62
_space_group_name_Hall '-P 2ac 2n'
loop_
_atom_site_label
_atom_site_type_symbol
_atom_site_fract_x
_atom_site_fract_y
_atom_site_fract_z
Tm1 Tm 0.014 0.250 0.208
Co1 Co 0.156 0.750 0.437
Sn1 Sn 0.211 0.250 0.604
```

Most intense lines, 10 to 90 degrees two-theta, by angle:
2θ (°)  d [Å]  Rel. int.
33.75  2.656  36
34.37  2.609  100
34.93  2.569  31
39.94  2.257  16
40.17  2.245  37
41.62  2.170  45
54.27  1.690  18
67.34  1.391  15

=====

What did the second record say?
For LaRh3, a PBE-relaxed structure gives the simulated X-ray powder pattern in this record (Cu Kα X-rays).
Lines closer than 0.1° are merged.

```
data_LaRh3
_cell_length_a 5.3800
_cell_length_b 5.3800
_cell_length_c 26.8793
_cell_angle_alpha 90.00
_cell_angle_beta 90.00
_cell_angle_gamma 120.00
_space_group_name_H-M_alt 'R -3 m'
_space_group_IT_number 166
_space_group_name_Hall '-R 3 2"'
loop_
_atom_site_label
_atom_site_type_symbol
_atom_site_fract_x
_atom_site_fract_y
_atom_site_fract_z
La1 La 0.0000 0.0000 0.0000
La2 La 0.0000 0.0000 0.1385
Rh1 Rh 0.0000 0.0000 0.3324
Rh2 Rh 0.0000 0.0000 0.5000
Rh3 Rh 0.0014 0.5007 0.0812
```

Most intense lines, 10 to 90 degrees two-theta, by angle:
2θ (°)  d [Å]  Rel. int.
30.16  2.963  25
32.86  2.725  27
33.31  2.690  32
38.80  2.321  34
39.06  2.306  100
42.28  2.138  31
63.39  1.467  24
69.94  1.345  25